Record 1
Calculated powder diffraction line list
Compound: Sr4MgMn2S2O6
Radiation: CuKα
Structure: a crystal structure in the Materials Project, relaxed with PBE+U
Peak positions follow from Bragg's law for the DFT cell and can differ from measured ones.

Structural model:
abc: 3.9721 3.9721 15.4767
angles: 90.00 90.00 90.00
Space group P-4m2 (No. 115)
Asymmetric unit:
Sr: 0.0000 0.5000 0.1217 x2
Sr: 0.0000 0.5000 0.3599 x2
Mg: 0.5000 0.5000 0.5000 x1
Mn: 0.0000 0.5000 0.7551 x2
S: 0.0000 0.5000 0.9183 x2
O: 0.0000 0.0000 0.2571 x2
O: 0.0000 0.5000 0.5556 x2
O: 0.5000 0.5000 0.2612 x2

Most intense lines, 10 to 80 degrees two-theta, sorted by position:
| 2theta | I/Imax | (hkl) |
| --- | --- | --- |
| 11.43 | 30 | 0 0 2 |
| 28.36 | 52 | 1 0 3 |
| 31.86 | 79 | 1 1 0 |
| 36.81 | 100 | 1 0 5 |
| 39.65 | 45 | 1 1 4 |
| 45.68 | 53 | 2 0 0 |
| 54.64 | 17 | 2 1 3 |
| 60.05 | 44 | 2 1 5 |

Record 2
Calculated powder diffraction line list
Compound: MnRePb2O6
Radiation: CuKα
Structure: a crystal structure in the Materials Project, relaxed with PBE+U
Peak positions follow from Bragg's law for the DFT cell and can differ from measured ones.

Structural model:
abc: 7.2282 7.4929 10.6030
angles: 90.00 90.00 90.00
Space group Imma (No. 74)
Asymmetric unit:
Mn: 0.2500 0.2500 0.2500 x4
Re: 0.0000 0.0000 0.0000 x4
Pb: 0.0000 0.0000 0.5000 x4
Pb: 0.2500 0.2500 0.7500 x4
O: 0.0000 0.2500 0.3220 x4
O: 0.0000 0.2500 0.9480 x4
O: 0.1880 0.0419 0.1234 x16

Most intense lines, 10 to 80 degrees two-theta, sorted by position:
| 2theta | I/Imax | (hkl) |
| --- | --- | --- |
| 14.48 | 17 | 0 1 1 |
| 29.19 | 100 | 0 2 2 |
| 29.92 | 95 | 2 0 2 |
| 33.82 | 28 | 0 0 4 |
| 34.48 | 51 | 2 2 0 |
| 49.07 | 54 | 2 2 4 |
| 58.12 | 45 | 2 0 6 |
| 59.40 | 28 | 4 2 2 |

Record 3
Calculated powder diffraction line list
Compound: Fe10O9F11
Radiation: CuKα
Structure: a crystal structure in the Materials Project, relaxed with PBE+U
Peak positions follow from Bragg's law for the DFT cell and can differ from measured ones.

Structural model:
abc: 4.7884 15.3803 4.7920
angles: 90.00 93.43 90.00
Space group Pm (No. 6)
Asymmetric unit:
Fe: 0.0000 0.0000 0.0000 x1
Fe: 0.0055 0.1896 0.0146 x2
Fe: 0.0257 0.3977 0.9661 x2
Fe: 0.4565 0.3049 0.4753 x2
Fe: 0.5051 0.0971 0.5052 x2
Fe: 0.5085 0.5000 0.5544 x1
O: 0.1768 0.2994 0.1789 x2
O: 0.2022 0.0986 0.2046 x2
O: 0.3086 0.3996 0.6902 x2
O: 0.8033 0.1012 0.8064 x2
O: 0.8216 0.5000 0.8213 x1
F: 0.2124 0.5000 0.2012 x1
F: 0.2992 0.0000 0.7078 x1
F: 0.2986 0.2051 0.6907 x2
F: 0.6860 0.2070 0.3040 x2
F: 0.6892 0.4012 0.3088 x2
F: 0.7075 0.0000 0.3001 x1
F: 0.7904 0.2992 0.7848 x2

Most intense lines, 10 to 80 degrees two-theta, sorted by position:
| 2theta | I/Imax | (hkl) |
| --- | --- | --- |
| 25.55 | 100 | 1 0 -1 |
| 27.15 | 90 | 1 0 1 |
| 34.68 | 97 | 1 5 0 |
| 39.05 | 18 | 1 5 -1 |
| 51.18 | 61 | 2 5 -1 |
| 52.48 | 18 | 2 0 -2 |
| 52.99 | 48 | 2 5 1 |
| 66.02 | 38 | 3 5 0 |

Record 4
Calculated powder diffraction line list
Compound: RbMgMn4O8
Radiation: CuKα
Structure: a crystal structure in the Materials Project, relaxed with PBE+U
Peak positions follow from Bragg's law for the DFT cell and can differ from measured ones.

Structural model:
abc: 15.0698 2.9560 9.9660
angles: 90.00 124.66 90.00
Space group Cm (No. 8)
Asymmetric unit:
Rb: 0.0000 0.0000 0.0000 x2
Mg: 0.2893 0.5000 0.2825 x2
Mn: 0.1828 0.0000 0.9008 x2
Mn: 0.2403 0.5000 0.6391 x2
Mn: 0.4135 0.0000 0.6103 x2
Mn: 0.4879 0.5000 0.3304 x2
O: 0.0077 0.5000 0.2295 x2
O: 0.0134 0.0000 0.7208 x2
O: 0.1425 0.0000 0.5316 x2
O: 0.1885 0.5000 0.0432 x2
O: 0.2255 0.5000 0.8223 x2
O: 0.3010 0.5000 0.4916 x2
O: 0.3416 0.0000 0.7439 x2
O: 0.3998 0.0000 0.3588 x2

Most intense lines, 10 to 80 degrees two-theta, sorted by position:
| 2theta | I/Imax | (hkl) |
| --- | --- | --- |
| 10.79 | 29 | 0 0 1 |
| 22.37 | 71 | 2 0 1 |
| 24.25 | 30 | 4 0 -1 |
| 27.17 | 26 | 2 0 -3 |
| 28.78 | 100 | 4 0 -3 |
| 32.78 | 35 | 0 0 3 |
| 37.41 | 31 | 3 1 0 |
| 47.88 | 44 | 5 1 0 |